[1]
The following is a theoretical XRD peak list of PmIr3O8. It was derived from a GGA-PBE-relaxed structure, using CuKα.

Top 8 peaks for 10° ≤ 2θ ≤ 90°, by angle:
- d = 5.557 Å, intensity 70.5
- d = 5.182 Å, intensity 100.0
- d = 2.778 Å, intensity 22.0
- d = 2.739 Å, intensity 35.6
- d = 2.690 Å, intensity 24.9
- d = 2.591 Å, intensity 48.8
- d = 2.281 Å, intensity 65.2
- d = 1.655 Å, intensity 21.1

Structural model:
Unit cell a=6.2954 b=6.2954 c=16.6701 alpha=90.00 beta=90.00 gamma=120.00
Space group R-3m (No. 166, hexagonal axes)
Unique sites:
Pm1 0.0000 0.0000 0.0000
Ir1 0.0000 0.5000 0.5000
O1 0.0000 0.0000 0.2229
O2 0.0397 0.5199 0.7712


[2]
The following is a theoretical XRD peak list of Pm3IrO2. It was derived from a GGA-PBE-relaxed structure, using CuKα.

Top 8 peaks for 10° ≤ 2θ ≤ 90°, by angle:
- d = 3.077 Å, intensity 15.7
- d = 2.797 Å, intensity 23.1
- d = 2.729 Å, intensity 100.0
- d = 2.517 Å, intensity 32.8
- d = 2.164 Å, intensity 22.5
- d = 1.912 Å, intensity 14.5
- d = 1.491 Å, intensity 16.4
- d = 1.373 Å, intensity 22.0

Structural model:
Unit cell a=5.0337 b=12.3063 c=3.8243 alpha=90.00 beta=90.00 gamma=90.00
Space group Pmmn (No. 59, origin choice 2)
Unique sites:
Pm1 0.2500 0.0619 0.2498
Pm2 0.2500 0.7500 0.7483
Ir1 0.2500 0.2500 0.7508
O1 0.2500 0.5511 0.7497


[3]
The following is a theoretical XRD peak list of Pm2Ir2O7. It was derived from a GGA-PBE-relaxed structure, using CuKα.

Top 8 peaks for 10° ≤ 2θ ≤ 90°, by angle:
- d = 3.007 Å, intensity 100.0
- d = 2.604 Å, intensity 36.8
- d = 1.842 Å, intensity 45.3
- d = 1.571 Å, intensity 44.2
- d = 1.504 Å, intensity 10.9
- d = 1.302 Å, intensity 6.8
- d = 1.195 Å, intensity 18.1
- d = 1.165 Å, intensity 15.3

Structural model:
Unit cell a=10.4177 b=10.4177 c=10.4177 alpha=90.00 beta=90.00 gamma=90.00
Space group Fd-3m (No. 227, origin choice 2)
Unique sites:
Pm1 0.0000 0.0000 0.0000
Ir1 0.0000 0.0000 0.5000
O1 0.0833 0.3750 0.8750
O2 0.1250 0.1250 0.1250


[4]
The following is a theoretical XRD peak list of Pm4Ir6O19. It was derived from a GGA-PBE-relaxed structure, using CuKα.

Top 8 peaks for 10° ≤ 2θ ≤ 90°, by angle:
- d = 6.337 Å, intensity 23.8
- d = 3.659 Å, intensity 39.8
- d = 2.834 Å, intensity 100.0
- d = 2.395 Å, intensity 69.2
- d = 1.829 Å, intensity 21.9
- d = 1.758 Å, intensity 42.3
- d = 1.494 Å, intensity 30.6
- d = 1.321 Å, intensity 19.1

Structural model:
Unit cell a=8.9619 b=8.9619 c=8.9619 alpha=90.00 beta=90.00 gamma=90.00
Space group I23 (No. 197)
Unique sites:
Pm1 0.1579 0.1579 0.1579
Ir1 0.0000 0.1635 0.5000
O1 0.0000 0.0000 0.0000
O2 0.0000 0.0000 0.3427
O3 0.0359 0.2828 0.6843


[5]
The following is a theoretical XRD peak list of PmPr2IrO8. It was derived from a GGA-PBE-relaxed structure, using CuKα.

Top 8 peaks for 10° ≤ 2θ ≤ 90°, by angle:
- d = 3.696 Å, intensity 100.0
- d = 2.922 Å, intensity 90.2
- d = 2.614 Å, intensity 26.7
- d = 1.949 Å, intensity 53.0
- d = 1.946 Å, intensity 16.5
- d = 1.591 Å, intensity 17.4
- d = 1.461 Å, intensity 10.5
- d = 1.205 Å, intensity 10.0

Structural model:
Unit cell a=5.2215 b=7.0477 c=5.2333 alpha=90.00 beta=90.16 gamma=90.00
Space group P2/m (No. 10)
Unique sites:
Pm1 0.0000 0.0000 0.0000
Pr1 0.5000 0.2521 0.5000
Ir1 0.0000 0.5000 0.0000
O1 0.1778 0.2954 0.8226
O2 0.2564 0.5000 0.2559
O3 0.3072 0.0000 0.3077


[6]
The following is a theoretical XRD peak list of PmIrPtO6. It was derived from a GGA-PBE-relaxed structure, using CuKα.

Top 8 peaks for 10° ≤ 2θ ≤ 90°, by angle:
- d = 3.223 Å, intensity 100.0
- d = 2.694 Å, intensity 55.3
- d = 2.067 Å, intensity 29.0
- d = 1.717 Å, intensity 41.4
- d = 1.640 Å, intensity 28.5
- d = 1.555 Å, intensity 16.6
- d = 1.243 Å, intensity 11.5
- d = 1.153 Å, intensity 11.0

Structural model:
Unit cell a=5.3875 b=5.3875 c=8.9163 alpha=90.00 beta=90.00 gamma=120.00
Space group P-31c (No. 163)
Unique sites:
Pm1 0.3333 0.6667 0.2500
Ir1 0.0000 0.0000 0.0000
Pt1 0.3333 0.6667 0.7500
O1 0.0285 0.3267 0.6178


[7]
The following is a theoretical XRD peak list of Rb3Pm3IrO8. It was derived from a GGA-PBE-relaxed structure, using CuKα.

Top 8 peaks for 10° ≤ 2θ ≤ 90°, by angle:
- d = 6.599 Å, intensity 64.2
- d = 3.299 Å, intensity 43.4
- d = 2.903 Å, intensity 81.4
- d = 2.588 Å, intensity 100.0
- d = 1.918 Å, intensity 35.1
- d = 1.753 Å, intensity 31.2
- d = 1.658 Å, intensity 21.7
- d = 1.548 Å, intensity 35.0

Structural model:
Unit cell a=7.0131 b=7.0131 c=19.7957 alpha=90.00 beta=90.00 gamma=120.00
Space group R-3m (No. 166, hexagonal axes)
Unique sites:
Rb1 0.0000 0.5000 0.0000
Pm1 0.0000 0.5000 0.5000
Ir1 0.0000 0.0000 0.5000
O1 0.0000 0.0000 0.2262
O2 0.0332 0.5166 0.2219


[8]
The following is a theoretical XRD peak list of PmYIrO6. It was derived from a GGA-PBE-relaxed structure, using CuKα.

Top 8 peaks for 10° ≤ 2θ ≤ 90°, by angle:
- d = 4.697 Å, intensity 35.0
- d = 3.375 Å, intensity 100.0
- d = 2.802 Å, intensity 65.5
- d = 2.406 Å, intensity 38.4
- d = 2.156 Å, intensity 28.7
- d = 1.800 Å, intensity 54.5
- d = 1.709 Å, intensity 27.8
- d = 1.618 Å, intensity 21.0

Structural model:
Unit cell a=5.6043 b=5.6043 c=9.3940 alpha=90.00 beta=90.00 gamma=120.00
Space group P-31c (No. 163)
Unique sites:
Pm1 0.3333 0.6667 0.2500
Y1 0.0000 0.0000 0.0000
Ir1 0.3333 0.6667 0.7500
O1 0.0517 0.3708 0.6320


What did the fourth record say?
The following is a theoretical XRD peak list of Pm4Ir6O19. It was derived from a GGA-PBE-relaxed structure, using CuKα.

Top 8 peaks for 10° ≤ 2θ ≤ 90°, by angle:
- d = 6.337 Å, intensity 23.8
- d = 3.659 Å, intensity 39.8
- d = 2.834 Å, intensity 100.0
- d = 2.395 Å, intensity 69.2
- d = 1.829 Å, intensity 21.9
- d = 1.758 Å, intensity 42.3
- d = 1.494 Å, intensity 30.6
- d = 1.321 Å, intensity 19.1

Structural model:
Unit cell a=8.9619 b=8.9619 c=8.9619 alpha=90.00 beta=90.00 gamma=90.00
Space group I23 (No. 197)
Unique sites:
Pm1 0.1579 0.1579 0.1579
Ir1 0.0000 0.1635 0.5000
O1 0.0000 0.0000 0.0000
O2 0.0000 0.0000 0.3427
O3 0.0359 0.2828 0.6843